Ac2In3Ga2: theoretical PXRD pattern (CuKα), based on a cell relaxed with GGA-PBE.

Cell: 6.3383 6.3383 7.2498 Å, 99.49 99.49 43.08°
Sites, in units of the cell vectors:
Ac 0.1254 0.1254 0.3314
Ac 0.8746 0.8746 0.6686
In 0.1900 0.1900 0.8544
In 0.5000 0.5000 0.0000
In 0.8100 0.8100 0.1456
Ga 0.4135 0.4135 0.3608
Ga 0.5865 0.5865 0.6392

Most intense lines, 5° ≤ 2θ ≤ 70°, in order of falling intensity:
31.45 deg, intensity 1000; 30.04 deg, intensity 657; 38.69 deg, intensity 366; 34.20 deg, intensity 364; 36.28 deg, intensity 247; 24.79 deg, intensity 223; 31.69 deg, intensity 217; 58.34 deg, intensity 208; 30.95 deg, intensity 198; 50.83 deg, intensity 191